# 1
This entry pairs a crystal structure of ScTcSb2 with its simulated PXRD pattern. Radiation: λ = 1.5418 Å (Cu Kα). Structure: a cell relaxed with GGA-PBE.
No peak broadening, texture or thermal motion is included.

Most intense lines, 2θ from 10° to 80°, by angle:
22.57 deg, intensity 5.0
26.12 deg, intensity 7.7
37.28 deg, intensity 100.0
44.02 deg, intensity 2.7
46.09 deg, intensity 2.3
53.74 deg, intensity 16.9
59.02 deg, intensity 1.2
60.71 deg, intensity 3.1
67.22 deg, intensity 33.7
79.47 deg, intensity 10.5

Structure:
```
ScTcSb2
1.0
0.000 3.411 3.411
3.411 0.000 3.411
3.411 3.411 0.000
Sc Tc Sb
1 1 2
Cartesian
0.000 0.000 0.000
3.411 3.411 3.411
1.706 1.706 1.706
5.117 5.117 5.117
```

# 2
This entry pairs a crystal structure of Sc6TcSb2 with its simulated PXRD pattern. Radiation: λ = 1.5418 Å (Cu Kα). Structure: a cell relaxed with GGA-PBE.
No peak broadening, texture or thermal motion is included.

Most intense lines, 2θ from 10° to 80°, by angle:
23.30 deg, intensity 79.8
25.93 deg, intensity 40.6
32.33 deg, intensity 68.4
35.14 deg, intensity 100.0
35.93 deg, intensity 25.2
40.94 deg, intensity 58.0
42.59 deg, intensity 76.8
45.09 deg, intensity 27.2
62.52 deg, intensity 31.6
65.79 deg, intensity 30.7

Structure:
```
Sc6TcSb2
1.0
7.637 0.000 0.000
-3.818 6.614 0.000
0.000 0.000 4.021
Sc Tc Sb
6 1 2
Cartesian
-0.898 1.555 0.000
-2.312 4.005 2.011
1.796 0.000 0.000
1.506 2.608 2.011
4.625 0.000 2.011
2.920 5.058 0.000
0.000 0.000 2.011
0.000 4.409 0.000
3.818 2.204 0.000
```

# 3
This entry pairs a crystal structure of Sc4TcSb with its simulated PXRD pattern. Radiation: λ = 1.5418 Å (Cu Kα). Structure: a cell relaxed with GGA-PBE.
No peak broadening, texture or thermal motion is included.

Most intense lines, 2θ from 10° to 80°, by angle:
23.52 deg, intensity 74.7
23.67 deg, intensity 34.6
25.58 deg, intensity 34.3
33.91 deg, intensity 37.2
36.12 deg, intensity 100.0
41.53 deg, intensity 48.8
41.77 deg, intensity 32.9
42.81 deg, intensity 31.5
44.29 deg, intensity 38.2
44.97 deg, intensity 40.5

Structure:
```
Sc4TcSb
1.0
7.517 0.000 0.000
0.000 4.032 0.000
0.000 0.000 17.507
Sc Tc Sb
16 4 4
Cartesian
0.044 1.008 1.122
0.510 3.024 3.659
0.854 3.024 11.217
1.149 3.024 7.901
2.609 1.008 16.654
2.905 1.008 2.463
3.248 1.008 12.412
3.714 3.024 9.876
3.803 1.008 7.631
4.268 3.024 5.095
4.612 3.024 15.043
4.907 3.024 0.852
6.368 1.008 9.606
6.663 1.008 6.290
7.007 1.008 13.848
7.472 3.024 16.385
1.881 1.008 9.817
1.877 3.024 1.063
5.640 1.008 16.444
5.635 3.024 7.690
1.793 3.024 14.121
1.965 1.008 5.368
5.551 3.024 12.139
5.724 1.008 3.386
```

# 4
This entry pairs a crystal structure of ScVSbTe2 with its simulated PXRD pattern. Radiation: λ = 1.5418 Å (Cu Kα). Structure: a cell relaxed with GGA-PBE.
No peak broadening, texture or thermal motion is included.

Most intense lines, 2θ from 10° to 80°, by angle:
16.79 deg, intensity 24.2
17.36 deg, intensity 12.3
29.64 deg, intensity 100.0
33.95 deg, intensity 56.8
35.14 deg, intensity 25.8
48.78 deg, intensity 19.9
49.66 deg, intensity 37.7
58.12 deg, intensity 29.2
59.69 deg, intensity 13.4
61.53 deg, intensity 19.4

Structure:
```
ScVSbTe2
1.0
5.281 0.000 0.000
0.000 5.281 0.000
0.000 0.000 5.108
Sc V Sb Te
1 1 1 2
Cartesian
0.000 0.000 0.000
2.640 2.640 2.554
2.640 2.640 0.000
0.000 2.640 2.554
2.640 0.000 2.554
```

# 5
This entry pairs a crystal structure of YScSbTe with its simulated PXRD pattern. Radiation: λ = 1.5418 Å (Cu Kα). Structure: a cell relaxed with GGA-PBE.
No peak broadening, texture or thermal motion is included.

Most intense lines, 2θ from 10° to 80°, by angle:
24.83 deg, intensity 33.5
25.83 deg, intensity 22.8
29.49 deg, intensity 31.8
31.98 deg, intensity 100.0
37.92 deg, intensity 34.9
43.11 deg, intensity 53.8
48.48 deg, intensity 14.5
54.67 deg, intensity 21.0
68.03 deg, intensity 21.9
72.05 deg, intensity 18.0

Structure:
```
YScSbTe
1.0
2.098 1.211 7.311
-2.098 1.211 7.311
0.000 -2.423 7.311
Y Sc Sb Te
1 1 1 1
Cartesian
0.000 0.000 0.000
0.000 0.000 3.897
0.000 0.000 12.755
0.000 0.000 16.677
```

# 6
This entry pairs a crystal structure of ThScSb with its simulated PXRD pattern. Radiation: λ = 1.5418 Å (Cu Kα). Structure: a cell relaxed with GGA-PBE.
No peak broadening, texture or thermal motion is included.

Most intense lines, 2θ from 10° to 80°, by angle:
10.38 deg, intensity 42.4
28.80 deg, intensity 98.0
29.23 deg, intensity 100.0
30.69 deg, intensity 62.7
35.82 deg, intensity 59.0
37.74 deg, intensity 49.7
41.18 deg, intensity 64.0
51.30 deg, intensity 43.6
58.07 deg, intensity 36.1
73.65 deg, intensity 36.0

Structure:
```
ThScSb
1.0
4.384 0.000 0.000
0.000 4.384 0.000
0.000 0.000 8.520
Th Sc Sb
2 2 2
Cartesian
1.096 1.096 1.224
3.288 3.288 7.296
1.096 3.288 4.260
3.288 1.096 4.260
1.096 1.096 6.386
3.288 3.288 2.134
```

# 7
This entry pairs a crystal structure of ThSc2Sb4 with its simulated PXRD pattern. Radiation: λ = 1.5418 Å (Cu Kα). Structure: a cell relaxed with GGA-PBE.
No peak broadening, texture or thermal motion is included.

Most intense lines, 2θ from 10° to 80°, by angle:
16.85 deg, intensity 40.9
27.25 deg, intensity 62.6
27.85 deg, intensity 90.8
31.53 deg, intensity 90.4
31.97 deg, intensity 100.0
32.46 deg, intensity 65.6
35.75 deg, intensity 51.6
36.15 deg, intensity 33.3
42.38 deg, intensity 59.3
42.71 deg, intensity 31.7

Structure:
```
ThSc2Sb4
1.0
2.132 -5.566 0.000
2.132 5.566 0.000
0.000 0.000 16.181
Th Sc Sb
2 4 8
Cartesian
2.132 4.648 12.136
2.132 -4.648 4.045
2.132 1.624 9.305
2.132 1.624 14.966
2.132 -1.624 1.215
2.132 -1.624 6.876
0.000 0.000 0.000
0.000 0.000 8.090
2.132 1.868 1.804
2.132 1.868 6.287
2.132 1.441 12.136
2.132 -1.441 4.045
2.132 -1.868 9.894
2.132 -1.868 14.377
```

# 8
This entry pairs a crystal structure of Tm5Sc5Sb6 with its simulated PXRD pattern. Radiation: λ = 1.5418 Å (Cu Kα). Structure: a cell relaxed with GGA-PBE.
No peak broadening, texture or thermal motion is included.

Most intense lines, 2θ from 10° to 80°, by angle:
20.54 deg, intensity 24.5
29.63 deg, intensity 45.7
34.80 deg, intensity 46.3
35.00 deg, intensity 100.0
35.78 deg, intensity 22.5
36.30 deg, intensity 48.0
55.97 deg, intensity 12.8
56.12 deg, intensity 26.5
61.55 deg, intensity 15.0
69.82 deg, intensity 11.5

Structure:
```
Tm5Sc5Sb6
1.0
6.029 0.000 0.000
0.000 7.471 4.358
0.000 -7.471 4.358
Tm Sc Sb
5 5 6
Cartesian
0.000 0.000 0.000
0.000 -1.807 5.503
0.000 1.807 5.503
3.015 -1.820 7.624
3.015 1.820 7.624
1.510 -2.501 2.199
1.510 2.501 2.199
3.015 0.000 4.373
4.519 -2.501 2.199
4.519 2.501 2.199
0.000 -4.517 3.922
0.000 0.000 3.126
0.000 4.517 3.922
3.015 0.000 1.303
3.015 -2.895 4.831
3.015 2.895 4.831
```

# 9
This entry pairs a crystal structure of TmSc5Sb4 with its simulated PXRD pattern. Radiation: λ = 1.5418 Å (Cu Kα). Structure: a cell relaxed with GGA-PBE.
No peak broadening, texture or thermal motion is included.

Most intense lines, 2θ from 10° to 80°, by angle:
23.95 deg, intensity 25.1
24.14 deg, intensity 100.0
28.72 deg, intensity 49.7
31.57 deg, intensity 24.3
32.87 deg, intensity 41.2
33.15 deg, intensity 35.2
36.56 deg, intensity 48.6
36.72 deg, intensity 27.0
42.35 deg, intensity 75.7
43.20 deg, intensity 32.9

Structure:
```
TmSc5Sb4
1.0
4.853 -4.921 0.000
4.853 4.921 0.000
0.000 0.000 5.668
Tm Sc Sb
1 5 4
Cartesian
0.000 0.000 0.000
2.427 2.460 1.418
2.427 2.460 4.251
2.427 -2.460 1.418
2.427 -2.460 4.251
4.853 0.000 2.834
1.778 0.000 2.834
4.853 1.707 0.000
4.853 -1.707 0.000
7.929 0.000 2.834
```

# 10
This entry pairs a crystal structure of Tm5Sc2Sb4 with its simulated PXRD pattern. Radiation: λ = 1.5418 Å (Cu Kα). Structure: a cell relaxed with GGA-PBE.
No peak broadening, texture or thermal motion is included.

Most intense lines, 2θ from 10° to 80°, by angle:
25.21 deg, intensity 29.1
25.77 deg, intensity 25.9
26.62 deg, intensity 27.3
33.06 deg, intensity 100.0
34.52 deg, intensity 56.4
35.69 deg, intensity 46.4
38.10 deg, intensity 20.5
38.28 deg, intensity 27.4
43.54 deg, intensity 31.4
56.72 deg, intensity 26.7

Structure:
```
Tm5Sc2Sb4
1.0
10.424 -2.079 0.000
10.424 2.079 0.000
-1.981 0.000 7.145
Tm Sc Sb
5 2 4
Cartesian
0.000 0.000 0.000
5.689 0.000 3.946
7.342 0.000 0.331
11.526 0.000 6.814
13.179 0.000 3.199
0.317 0.000 4.348
18.551 0.000 2.797
3.041 0.000 5.417
8.537 0.000 4.979
10.331 0.000 2.166
15.827 0.000 1.728
```

# 11
This entry pairs a crystal structure of TmScSb2 with its simulated PXRD pattern. Radiation: λ = 1.5418 Å (Cu Kα). Structure: a cell relaxed with GGA-PBE.
No peak broadening, texture or thermal motion is included.

Most intense lines, 2θ from 10° to 80°, by angle:
12.31 deg, intensity 24.6
25.69 deg, intensity 82.6
32.06 deg, intensity 100.0
38.17 deg, intensity 65.0
42.77 deg, intensity 58.8
54.43 deg, intensity 21.9
58.65 deg, intensity 18.3
68.52 deg, intensity 27.9
71.59 deg, intensity 19.2
75.26 deg, intensity 17.5

Structure:
```
TmScSb2
1.0
2.114 1.221 7.190
-2.114 1.221 7.190
0.000 -2.442 7.190
Tm Sc Sb
1 1 2
Cartesian
0.000 0.000 0.000
0.000 0.000 17.899
0.000 0.000 8.985
0.000 0.000 12.503
```

# 12
This entry pairs a crystal structure of YSc4Sb5 with its simulated PXRD pattern. Radiation: λ = 1.5418 Å (Cu Kα). Structure: a cell relaxed with GGA-PBE.
No peak broadening, texture or thermal motion is included.

Most intense lines, 2θ from 10° to 80°, by angle:
25.91 deg, intensity 37.7
29.94 deg, intensity 46.5
30.04 deg, intensity 91.2
42.95 deg, intensity 100.0
50.89 deg, intensity 12.0
53.28 deg, intensity 34.4
70.61 deg, intensity 14.5
70.80 deg, intensity 27.7
78.60 deg, intensity 10.6
78.76 deg, intensity 20.4

Structure:
```
YSc4Sb5
1.0
-2.103 2.985 10.517
2.103 -2.985 10.517
2.103 2.985 -10.517
Y Sc Sb
1 4 5
Cartesian
0.000 0.000 0.000
0.000 0.000 4.270
0.000 0.000 8.411
0.000 0.000 12.623
0.000 0.000 16.764
2.103 0.000 2.229
2.103 0.000 6.333
0.000 2.985 0.000
0.000 2.985 4.184
0.000 2.985 8.288
```

# 13
This entry pairs a crystal structure of Y3Sc5Sb2 with its simulated PXRD pattern. Radiation: λ = 1.5418 Å (Cu Kα). Structure: a cell relaxed with GGA-PBE.
No peak broadening, texture or thermal motion is included.

Most intense lines, 2θ from 10° to 80°, by angle:
27.66 deg, intensity 32.2
28.60 deg, intensity 38.0
31.70 deg, intensity 100.0
37.19 deg, intensity 14.9
37.33 deg, intensity 54.6
38.49 deg, intensity 26.4
40.87 deg, intensity 12.6
41.66 deg, intensity 40.3
57.13 deg, intensity 14.2
69.89 deg, intensity 12.5

Structure:
```
Y3Sc5Sb2
1.0
-6.139 7.238 3.062
6.139 -7.238 3.062
6.139 7.238 -3.062
Y Sc Sb
6 10 4
Cartesian
1.655 3.138 0.000
0.000 0.000 1.531
7.795 4.100 0.000
-1.655 3.138 3.062
0.000 0.000 4.593
4.484 4.100 3.062
5.068 2.350 0.000
3.241 0.000 1.531
6.139 0.000 1.531
9.037 0.000 1.531
5.068 -2.350 3.062
1.071 9.587 0.000
-2.898 7.238 1.531
0.000 7.238 1.531
2.898 7.238 1.531
1.071 4.888 3.062
10.445 2.145 0.000
4.305 5.092 0.000
1.834 2.145 3.062
-4.305 5.092 3.062
```